Entry 1:
NaTaBiSb: theoretical powder diffraction line list (copper Kα), based on a crystal structure in Alexandria, relaxed with GGA-PBE.
Lines closer than 0.1° are merged.

Atomic structure:
```
data_NaTaBiSb
_chemical_formula_sum 'Na1 Ta1 Bi1 Sb1'
_cell_length_a 3.288
_cell_length_b 3.580
_cell_length_c 9.340
_cell_angle_alpha 82.95
_cell_angle_beta 82.48
_cell_angle_gamma 69.07
_space_group_name_H-M_alt 'P 1'
_space_group_IT_number 1
loop_
_space_group_symop_operation_xyz
'x,y,z'
loop_
_atom_site_label
_atom_site_type_symbol
_atom_site_fract_x
_atom_site_fract_y
_atom_site_fract_z
Na1 Na 0.000 0.000 0.000
Ta1 Ta 0.157 0.098 0.480
Bi1 Bi 0.440 0.449 0.712
Sb1 Sb 0.553 0.540 0.268
```

Most intense lines, 2θ from 15° to 90°, low angle first:
(1 0 0), 2θ = 29.22°, rel. 81; (0 1 2), 2θ = 31.80°, rel. 99; (1 1 1), 2θ = 32.13°, rel. 93; (1 0 2), 2θ = 33.61°, rel. 68; (0 1 -2), 2θ = 34.46°, rel. 100; (1 0 -2), 2θ = 36.75°, rel. 71

=====

Entry 2:
Na2BiSe2: theoretical powder diffraction line list (copper Kα), based on a crystal structure in Alexandria, relaxed with GGA-PBE.
Lines closer than 0.1° are merged.

Atomic structure:
```
data_Na2BiSe2
_chemical_formula_sum 'Na8 Bi4 Se8'
_cell_length_a 10.669
_cell_length_b 7.626
_cell_length_c 7.239
_cell_angle_alpha 90.00
_cell_angle_beta 102.96
_cell_angle_gamma 90.00
_space_group_name_H-M_alt 'P 1 21/c 1'
_space_group_IT_number 14
loop_
_space_group_symop_operation_xyz
'x,y,z'
'-x,-y,-z'
'-x,y+1/2,-z+1/2'
'x,-y+1/2,z+1/2'
loop_
_atom_site_label
_atom_site_type_symbol
_atom_site_fract_x
_atom_site_fract_y
_atom_site_fract_z
Na1 Na 0.029 0.241 0.015
Na2 Na 0.306 0.672 0.036
Bi1 Bi 0.349 0.184 0.945
Se1 Se 0.134 0.533 0.283
Se2 Se 0.456 0.539 0.747
```

Most intense lines, 2θ from 15° to 90°, low angle first:
(2 1 0), 2θ = 20.68°, rel. 100; (1 2 1), 2θ = 28.82°, rel. 80; (1 1 2), 2θ = 30.85°, rel. 60; (0 2 2), 2θ = 34.64°, rel. 85; (3 2 0), 2θ = 34.98°, rel. 79; (3 0 2), 2θ = 40.35°, rel. 57

=====

Entry 3:
Na3Bi4Se8: theoretical powder diffraction line list (copper Kα), based on a crystal structure in Alexandria, relaxed with GGA-PBE.
Lines closer than 0.1° are merged.

Atomic structure:
```
data_Na3Bi4Se8
_chemical_formula_sum 'Na6 Bi8 Se16'
_cell_length_a 11.842
_cell_length_b 12.035
_cell_length_c 8.337
_cell_angle_alpha 90.00
_cell_angle_beta 134.37
_cell_angle_gamma 90.00
_space_group_name_H-M_alt 'C 1 2/m 1'
_space_group_IT_number 12
loop_
_space_group_symop_operation_xyz
'x,y,z'
'-x,-y,-z'
'-x,y,-z'
'x,-y,z'
'x+1/2,y+1/2,z'
'-x+1/2,-y+1/2,-z'
'-x+1/2,y+1/2,-z'
'x+1/2,-y+1/2,z'
loop_
_atom_site_label
_atom_site_type_symbol
_atom_site_fract_x
_atom_site_fract_y
_atom_site_fract_z
Na1 Na 0.000 0.000 0.000
Na2 Na 0.250 0.250 0.000
Bi1 Bi 0.000 0.500 0.000
Bi2 Bi 0.000 0.500 0.500
Bi3 Bi 0.250 0.250 0.500
Se1 Se 0.000 0.254 0.000
Se2 Se 0.000 0.257 0.500
Se3 Se 0.237 0.500 0.979
Se4 Se 0.250 0.000 0.503
```

Most intense lines, 2θ from 15° to 90°, low angle first:
(0 2 1), 2θ = 21.01°, rel. 46; (0 4 0), 2θ = 29.69°, rel. 90; (0 0 2), 2θ = 29.99°, rel. 87; (4 0 -2), 2θ = 30.19°, rel. 86; (4 0 0), 2θ = 42.71°, rel. 100; (4 4 -2), 2θ = 42.86°, rel. 66

=====

Entry 4:
NaTlBiSe3: theoretical powder diffraction line list (copper Kα), based on a crystal structure in Alexandria, relaxed with GGA-PBE.
Lines closer than 0.1° are merged.

Atomic structure:
```
data_NaTlBiSe3
_chemical_formula_sum 'Na2 Tl2 Bi2 Se6'
_cell_length_a 7.455
_cell_length_b 4.249
_cell_length_c 10.631
_cell_angle_alpha 90.00
_cell_angle_beta 90.54
_cell_angle_gamma 90.00
_space_group_name_H-M_alt 'P 1 21/m 1'
_space_group_IT_number 11
loop_
_space_group_symop_operation_xyz
'x,y,z'
'-x,-y,-z'
'-x,y+1/2,-z'
'x,-y+1/2,z'
loop_
_atom_site_label
_atom_site_type_symbol
_atom_site_fract_x
_atom_site_fract_y
_atom_site_fract_z
Na1 Na 0.247 0.250 0.000
Tl1 Tl 0.079 0.750 0.672
Bi1 Bi 0.413 0.750 0.323
Se1 Se 0.090 0.750 0.171
Se2 Se 0.268 0.250 0.495
Se3 Se 0.422 0.750 0.828
```

Most intense lines, 2θ from 15° to 90°, low angle first:
(0 0 2), 2θ = 16.68°, rel. 14; (1 1 -1), 2θ = 25.54°, rel. 15; (1 1 -2), 2θ = 29.39°, rel. 100; (1 1 4), 2θ = 41.98°, rel. 27; (3 1 0), 2θ = 42.13°, rel. 25; (0 2 0), 2θ = 42.54°, rel. 14

=====

Entry 5:
Na2Sn2Bi: theoretical powder diffraction line list (copper Kα), based on a crystal structure in Alexandria, relaxed with GGA-PBE.
Lines closer than 0.1° are merged.

Atomic structure:
```
data_Na2Sn2Bi
_chemical_formula_sum 'Na2 Sn2 Bi1'
_cell_length_a 5.011
_cell_length_b 3.444
_cell_length_c 8.521
_cell_angle_alpha 90.00
_cell_angle_beta 106.78
_cell_angle_gamma 90.00
_space_group_name_H-M_alt 'P 1 2/m 1'
_space_group_IT_number 10
loop_
_space_group_symop_operation_xyz
'x,y,z'
'-x,-y,-z'
'-x,y,-z'
'x,-y,z'
loop_
_atom_site_label
_atom_site_type_symbol
_atom_site_fract_x
_atom_site_fract_y
_atom_site_fract_z
Na1 Na 0.105 0.000 0.209
Sn1 Sn 0.301 0.500 0.604
Bi1 Bi 0.500 0.500 0.000
```

Most intense lines, 2θ from 15° to 90°, low angle first:
(1 0 -1), 2θ = 18.52°, rel. 100; (0 1 0), 2θ = 25.87°, rel. 61; (1 1 -1), 2θ = 32.00°, rel. 94; (1 0 2), 2θ = 32.66°, rel. 53; (1 0 -3), 2θ = 32.84°, rel. 52; (1 1 -3), 2θ = 42.30°, rel. 58

=====

Entry 6:
Na2Sn6Bi: theoretical powder diffraction line list (copper Kα), based on a crystal structure in Alexandria, relaxed with GGA-PBE.
Lines closer than 0.1° are merged.

Atomic structure:
```
data_Na2Sn6Bi
_chemical_formula_sum 'Na4 Sn12 Bi2'
_cell_length_a 16.385
_cell_length_b 6.346
_cell_length_c 5.340
_cell_angle_alpha 90.00
_cell_angle_beta 108.92
_cell_angle_gamma 90.00
_space_group_name_H-M_alt 'C 1 2/m 1'
_space_group_IT_number 12
loop_
_space_group_symop_operation_xyz
'x,y,z'
'-x,-y,-z'
'-x,y,-z'
'x,-y,z'
'x+1/2,y+1/2,z'
'-x+1/2,-y+1/2,-z'
'-x+1/2,y+1/2,-z'
'x+1/2,-y+1/2,z'
loop_
_atom_site_label
_atom_site_type_symbol
_atom_site_fract_x
_atom_site_fract_y
_atom_site_fract_z
Na1 Na 0.108 0.000 0.109
Sn1 Sn 0.000 0.235 0.500
Sn2 Sn 0.200 0.255 0.701
Bi1 Bi 0.000 0.500 0.000
```

Most intense lines, 2θ from 15° to 90°, low angle first:
(4 0 0), 2θ = 22.95°, rel. 40; (4 0 -1), 2θ = 23.97°, rel. 26; (2 2 -1), 2θ = 33.36°, rel. 100; (2 0 -2), 2θ = 33.56°, rel. 49; (4 2 1), 2θ = 44.23°, rel. 79; (2 2 3), 2θ = 67.47°, rel. 24